# 1
Diffraction record for LiTmSn2. The XRD peak list is computed, not measured: it uses the GGA-PBE geometry in the Materials Project and Cu Kα (weighted mean of Kα1 and Kα2).

Main lines, low angle first (5° ≤ 2θ ≤ 70°):
hkl  two_theta  Rel. int.
1 3 0  24.90  14
0 6 0  27.85  16
1 5 0  31.18  15
1 3 1  32.01  100
0 6 1  34.40  17
0 0 2  40.22  18
2 0 0  41.93  16
0 8 1  42.69  11
2 6 1  55.32  9
2 0 2  59.50  11
2 8 1  61.40  9
1 3 3  67.98  12

Atomic structure:
Cell: 4.3091 19.2233 4.4839 Å, 90.00 90.00 90.00°
Space group Cmcm (No. 63)
Asymmetric unit:
Li 0.0000 0.1727 0.2500 x4
Tm 0.0000 0.3945 0.2500 x4
Sn 0.0000 0.0451 0.2500 x4
Sn 0.0000 0.2481 0.7500 x4



# 2
Diffraction record for GaCuTe2. The XRD peak list is computed, not measured: it uses the GGA-PBE geometry in the Materials Project and Cu Kα (weighted mean of Kα1 and Kα2).

Main lines, low angle first (5° ≤ 2θ ≤ 70°):
hkl  two_theta  Rel. int.
1 1 2  27.03  21
1 0 3  28.20  1
2 0 0  31.25  100
0 0 4  31.41  49
2 2 0  44.78  37
2 0 4  44.90  71
3 1 2  53.09  7
1 1 6  53.30  3
2 2 4  55.72  37
4 0 0  65.19  12
0 0 8  65.56  5
2 1 7  68.30  1

Atomic structure:
Cell: 5.7239 5.7239 11.3915 Å, 90.00 90.00 90.00°
Space group I4_1/amd (No. 141, origin choice 2)
Asymmetric unit:
Ga 0.0000 0.2500 0.3750 x4
Cu 0.0000 0.2500 0.8750 x4
Te 0.0000 0.2500 0.1185 x8



# 3
Diffraction record for Er4Ge3O15. The XRD peak list is computed, not measured: it uses the GGA-PBE geometry in the Materials Project and Cu Kα (weighted mean of Kα1 and Kα2).

Main lines, low angle first (5° ≤ 2θ ≤ 70°):
hkl  two_theta  Rel. int.
4 0 0  23.28  94
0 0 2  25.15  100
1 3 1  28.62  79
3 3 0  30.59  48
3 3 1  33.16  97
4 0 2  34.53  61
1 3 2  36.22  35
3 3 2  40.00  30
3 3 3  49.64  37
7 3 1  50.68  38
0 6 1  52.93  35
4 6 1  58.57  37

Atomic structure:
Cell: 15.2848 10.7033 7.0827 Å, 90.00 90.00 90.00°
Space group Cmcm (No. 63)
Asymmetric unit:
Er 0.1303 0.2094 0.2500 x8
Er 0.1465 0.4468 0.7500 x8
Ge 0.0000 0.0000 0.0000 x4
Ge 0.1546 0.1190 0.7500 x8
O 0.0000 0.0683 0.2500 x4
O 0.0000 0.3626 0.2500 x4
O 0.0000 0.4225 0.7500 x4
O 0.0876 0.1256 0.5441 x16
O 0.1363 0.3786 0.0573 x16
O 0.2092 0.0246 0.2500 x8
O 0.2212 0.2532 0.7500 x8



# 4
Diffraction record for Ta6CoC3S6. The XRD peak list is computed, not measured: it uses the GGA-PBE geometry in the Materials Project and Cu Kα (weighted mean of Kα1 and Kα2).

Main lines, low angle first (5° ≤ 2θ ≤ 70°):
hkl  two_theta  Rel. int.
0 0 1  10.53  100
1 3 0  31.54  47
0 0 3  31.95  14
1 3 1  34.49  41
2 0 1  36.16  52
1 3 2  40.31  26
2 0 2  42.74  46
0 0 4  43.05  12
0 6 0  55.78  28
3 3 0  56.94  9
1 3 4  57.44  17
3 3 2  65.74  12

Atomic structure:
Cell: 5.7056 9.8949 8.6170 Å, 90.00 102.75 90.00°
Space group C2/m (No. 12)
Asymmetric unit:
Ta 0.1206 0.0000 0.3648 x4
Ta 0.1205 0.3335 0.3599 x8
Co 0.0000 0.0000 0.0000 x2
C 0.0000 0.1700 0.5000 x4
C 0.0000 0.5000 0.5000 x2
S 0.2212 0.1657 0.1659 x8
S 0.2234 0.5000 0.1637 x4



# 5
Diffraction record for Li3Hg. The XRD peak list is computed, not measured: it uses the GGA-PBE geometry in the Materials Project and Cu Kα (weighted mean of Kα1 and Kα2).

Main lines, low angle first (5° ≤ 2θ ≤ 70°):
hkl  two_theta  Rel. int.
1 0 0  17.43  41
1 0 1  25.60  100
1 1 0  30.42  44
2 0 0  35.27  9
0 0 2  37.72  10
2 0 1  40.17  38
1 0 2  41.83  9
1 1 2  49.20  24
2 1 1  51.21  32
1 0 3  61.06  9
3 0 2  67.79  9
3 1 1  69.45  13

Atomic structure:
Cell: 5.8763 5.8763 4.7702 Å, 90.00 90.00 120.00°
Space group P6_3/mmc (No. 194)
Asymmetric unit:
Li 0.1707 0.3415 0.2500 x6
Hg 0.3333 0.6667 0.7500 x2



# 6
Diffraction record for Er2Fe12P7. The XRD peak list is computed, not measured: it uses the GGA-PBE geometry in the Materials Project and Cu Kα (weighted mean of Kα1 and Kα2).

Main lines, low angle first (5° ≤ 2θ ≤ 70°):
hkl  two_theta  Rel. int.
1 0 1  27.11  14
2 1 0  30.52  10
3 0 0  34.73  12
2 1 1  39.52  100
2 2 0  40.32  10
1 3 0  42.04  9
4 0 0  46.90  9
3 1 1  49.26  10
0 0 2  50.22  17
1 4 0  54.25  16
3 2 1  57.73  12
2 4 1  69.17  9

Atomic structure:
Cell: 8.9475 8.9475 3.6335 Å, 90.00 90.00 120.00°
Space group P-6 (No. 174)
Asymmetric unit:
Er 0.0000 0.0000 0.0000 x1
Er 0.3333 0.6667 0.5000 x1
Fe 0.0507 0.2847 0.5000 x3
Fe 0.0940 0.7048 0.0000 x3
Fe 0.3911 0.1772 0.0000 x3
Fe 0.5468 0.4292 0.5000 x3
P 0.0781 0.4480 0.0000 x3
P 0.2643 0.2206 0.5000 x3
P 0.6667 0.3333 0.0000 x1



# 7
Diffraction record for ZnSO5. The XRD peak list is computed, not measured: it uses the GGA-PBE geometry in the Materials Project and Cu Kα (weighted mean of Kα1 and Kα2).

Main lines, low angle first (5° ≤ 2θ ≤ 70°):
hkl  two_theta  Rel. int.
0 1 0  11.11  100
1 0 1  14.29  16
1 0 -1  15.00  14
0 0 2  19.10  8
0 2 0  22.26  6
-1 1 2  25.29  14
2 1 1  25.45  9
2 1 -1  26.71  11
-1 2 1  27.34  11
2 -1 2  31.95  7
1 3 2  38.83  6
-1 3 2  40.97  7

Atomic structure:
Cell: 7.9794 8.0229 9.3181 Å, 87.13 86.81 85.34°
Space group P-1 (No. 2)
Asymmetric unit:
Zn 0.0000 0.0000 0.0000 x1
Zn 0.0065 0.5012 0.7563 x2
Zn 0.5000 0.5000 0.5000 x1
S 0.1256 0.2806 0.4896 x2
S 0.2293 0.6038 0.9803 x2
O 0.0023 0.7069 0.6253 x2
O 0.0429 0.2943 0.6376 x2
O 0.1009 0.7471 0.9515 x2
O 0.1068 0.9954 0.1853 x2
O 0.2063 0.4705 0.8738 x2
O 0.2082 0.5307 0.1324 x2
O 0.2233 0.0862 0.9882 x2
O 0.2506 0.4054 0.4546 x2
O 0.3894 0.7179 0.5396 x2
O 0.4785 0.6482 0.3313 x2



# 8
Diffraction record for KIn2Ga2. The XRD peak list is computed, not measured: it uses the GGA-PBE geometry in the Materials Project and Cu Kα (weighted mean of Kα1 and Kα2).

Main lines, low angle first (5° ≤ 2θ ≤ 70°):
hkl  two_theta  Rel. int.
0 0 2  15.04  37
1 0 1  20.00  15
1 0 3  29.40  14
1 1 2  30.43  100
2 0 0  37.54  52
1 1 4  40.59  64
1 0 5  42.76  13
2 2 0  54.13  17
2 1 5  58.19  10
2 0 6  61.01  10
3 1 2  63.37  24
3 1 4  69.79  20

Atomic structure:
Cell: 4.7923 4.7923 11.7819 Å, 90.00 90.00 90.00°
Space group I4/mmm (No. 139)
Asymmetric unit:
K 0.0000 0.0000 0.0000 x2
In 0.0000 0.5000 0.2500 x4
Ga 0.0000 0.0000 0.3906 x4



# 9
Diffraction record for Bi2PdO4. The XRD peak list is computed, not measured: it uses the GGA-PBE geometry in the Materials Project and Cu Kα (weighted mean of Kα1 and Kα2).

Main lines, low angle first (5° ≤ 2θ ≤ 70°):
hkl  two_theta  Rel. int.
2 0 0  19.43  13
2 1 1  26.85  100
2 2 0  27.62  15
3 1 0  30.95  30
1 1 2  34.41  13
2 0 2  37.20  25
4 1 1  43.84  41
2 1 3  53.19  18
3 3 2  53.33  24
5 2 1  56.61  10
5 3 0  58.95  11
4 1 3  64.64  11

Atomic structure:
Cell: 9.1358 9.1358 5.6973 Å, 90.00 90.00 90.00°
Space group I4cm (No. 108)
Asymmetric unit:
Bi 0.1737 0.3263 0.0000 x8
Pd 0.0000 0.0000 0.3038 x4
O 0.1087 0.1951 0.3159 x16